# Na3YbP2O8
Theoretical powder diffraction line list, copper Kα. Input: a DFT-relaxed cell (GGA-PBE, Alexandria).
Neutral-atom scattering factors, no anomalous dispersion.

Top 6 peaks for 2θ from 5° to 70°, most intense first:
two_theta, I (rel.)
18.95, 1000
30.19, 896
33.10, 740
45.41, 433
22.25, 371
57.34, 342

Structural model:
Cell lengths 9.360, 9.360, 9.360 Å; angles 60.12, 60.12, 60.12 degrees
Fractional positions:
Na: 0.000 0.000 0.000
Na: 0.116 0.772 0.378
Na: 0.147 0.147 0.147
Na: 0.241 0.559 0.898
Na: 0.378 0.116 0.772
Na: 0.496 0.496 0.496
Na: 0.559 0.898 0.241
Na: 0.772 0.378 0.116
Na: 0.898 0.241 0.559
Yb: 0.345 0.345 0.345
Yb: 0.649 0.649 0.649
Yb: 0.847 0.847 0.847
P: 0.057 0.450 0.739
P: 0.246 0.932 0.557
P: 0.450 0.739 0.057
P: 0.557 0.246 0.932
P: 0.739 0.057 0.450
P: 0.932 0.557 0.246
O: 0.036 0.284 0.898
O: 0.037 0.597 0.789
O: 0.070 0.958 0.711
O: 0.085 0.498 0.308
O: 0.229 0.937 0.399
O: 0.243 0.406 0.600
O: 0.284 0.898 0.036
O: 0.308 0.085 0.498
O: 0.380 0.751 0.623
O: 0.399 0.229 0.937
O: 0.406 0.600 0.243
O: 0.498 0.308 0.085
O: 0.527 0.653 0.918
O: 0.597 0.789 0.037
O: 0.600 0.243 0.406
O: 0.623 0.380 0.751
O: 0.653 0.918 0.527
O: 0.711 0.070 0.958
O: 0.751 0.623 0.380
O: 0.789 0.037 0.597
O: 0.898 0.036 0.284
O: 0.918 0.527 0.653
O: 0.937 0.399 0.229
O: 0.958 0.711 0.070

# Na3Zn4P3O19
Theoretical powder diffraction line list, copper Kα. Input: a DFT-relaxed cell (GGA-PBE, Alexandria).
Neutral-atom scattering factors, no anomalous dispersion.

Top 6 peaks for 2θ from 5° to 70°, most intense first:
two_theta, I (rel.)
11.77, 1000
29.06, 686
37.83, 330
20.47, 305
35.80, 254
29.18, 156

Structural model:
Cell lengths 10.615, 10.615, 10.615 Å; angles 60.23, 60.23, 60.23 degrees
Fractional positions:
Na: 0.140 0.709 0.651
Na: 0.151 0.209 0.640
Na: 0.209 0.640 0.151
Na: 0.640 0.151 0.209
Na: 0.651 0.140 0.709
Na: 0.709 0.651 0.140
Zn: 0.233 0.938 0.247
Zn: 0.239 0.239 0.239
Zn: 0.247 0.233 0.938
Zn: 0.438 0.733 0.747
Zn: 0.733 0.747 0.438
Zn: 0.739 0.739 0.739
Zn: 0.747 0.438 0.733
Zn: 0.938 0.247 0.233
P: 0.393 0.924 0.434
P: 0.424 0.893 0.934
P: 0.434 0.393 0.924
P: 0.893 0.934 0.424
P: 0.924 0.434 0.393
P: 0.934 0.424 0.893
O: 0.015 0.683 0.949
O: 0.054 0.894 0.429
O: 0.065 0.750 0.973
O: 0.087 0.436 0.274
O: 0.096 0.305 0.841
O: 0.163 0.163 0.163
O: 0.183 0.515 0.449
O: 0.250 0.565 0.473
O: 0.274 0.087 0.436
O: 0.305 0.841 0.096
O: 0.312 0.405 0.874
O: 0.341 0.805 0.596
O: 0.374 0.905 0.812
O: 0.394 0.554 0.929
O: 0.405 0.874 0.312
O: 0.429 0.054 0.894
O: 0.436 0.274 0.087
O: 0.449 0.183 0.515
O: 0.473 0.250 0.565
O: 0.515 0.449 0.183
O: 0.554 0.929 0.394
O: 0.565 0.473 0.250
O: 0.587 0.774 0.936
O: 0.596 0.341 0.805
O: 0.663 0.663 0.663
O: 0.683 0.949 0.015
O: 0.750 0.973 0.065
O: 0.774 0.936 0.587
O: 0.805 0.596 0.341
O: 0.812 0.374 0.905
O: 0.841 0.096 0.305
O: 0.874 0.312 0.405
O: 0.894 0.429 0.054
O: 0.905 0.812 0.374
O: 0.929 0.394 0.554
O: 0.936 0.587 0.774
O: 0.949 0.015 0.683
O: 0.973 0.065 0.750